1.
Calculated XRD peak list of TaTi3N2 for λ = 1.5418 Å (Cu Kα), from a GGA-PBE-relaxed structure.
Kinematic intensities with the Lorentz-polarization factor, no thermal factor.

Crystal structure
Cell: 7.0344 7.1180 6.1135 Å, 90.00 90.00 90.00°
Space group Cmcm (No. 63)
Inequivalent atoms, fractional coordinates:
Ta 0.0000 0.2049 0.2500
Ti 0.0000 0.2074 0.7500
Ti 0.2027 0.5000 0.0000
N 0.0000 0.0000 0.0000
N 0.0000 0.4981 0.7500

Largest 12 diffraction maxima, most intense first, 2θ from 10° to 90°:
2θ = 22.97°, intensity 1000, hkl 1 1 1
2θ = 38.84°, intensity 778, hkl 0 2 2
2θ = 39.04°, intensity 770, hkl 2 0 2
2θ = 35.90°, intensity 621, hkl 2 2 0
2θ = 25.32°, intensity 403, hkl 2 0 0
2θ = 40.11°, intensity 296, hkl 1 3 0
2θ = 63.55°, intensity 259, hkl 3 3 2
2θ = 66.75°, intensity 220, hkl 4 2 2
2θ = 50.38°, intensity 216, hkl 1 3 2
2θ = 43.24°, intensity 203, hkl 3 1 1
2θ = 72.47°, intensity 157, hkl 2 2 4
2θ = 60.60°, intensity 153, hkl 0 0 4

***

2.
Calculated XRD peak list of Tb2PmSi6 for λ = 1.5418 Å (Cu Kα), from a GGA-PBE-relaxed structure.
Kinematic intensities with the Lorentz-polarization factor, no thermal factor.

Crystal structure
Cell: 7.1212 7.1212 4.0138 Å, 90.00 90.00 120.00°
Space group P6/mmm (No. 191)
Inequivalent atoms, fractional coordinates:
Tb 0.3333 0.6667 0.0000
Pm 0.0000 0.0000 0.0000
Si 0.0000 0.3350 0.5000

Largest 12 diffraction maxima, most intense first, 2θ from 10° to 90°:
2θ = 33.65°, intensity 1000, hkl 1 1 1
2θ = 25.01°, intensity 494, hkl 1 1 0
2θ = 44.05°, intensity 313, hkl 3 0 0
2θ = 56.55°, intensity 225, hkl 2 2 1
2θ = 74.34°, intensity 200, hkl 4 1 1
2θ = 64.94°, intensity 197, hkl 3 0 2
2θ = 52.33°, intensity 137, hkl 1 1 2
2θ = 22.15°, intensity 124, hkl 0 0 1
2θ = 45.18°, intensity 97, hkl 0 0 2
2θ = 49.84°, intensity 96, hkl 3 0 1
2θ = 75.98°, intensity 94, hkl 1 1 3
2θ = 51.32°, intensity 73, hkl 2 2 0

***

3.
Calculated XRD peak list of Ba2In7Ag for λ = 1.5418 Å (Cu Kα), from a GGA-PBE-relaxed structure.
Kinematic intensities with the Lorentz-polarization factor, no thermal factor.

Crystal structure
Cell: 4.9418 4.9418 12.2829 Å, 90.00 90.00 90.00°
Space group P-4m2 (No. 115)
Inequivalent atoms, fractional coordinates:
Ba 0.0000 0.5000 0.2465
In 0.0000 0.0000 0.0000
In 0.0000 0.0000 0.5000
In 0.0000 0.5000 0.6390
In 0.0000 0.5000 0.8730
In 0.5000 0.5000 0.5000
Ag 0.5000 0.5000 0.0000

Largest 12 diffraction maxima, most intense first, 2θ from 10° to 90°:
2θ = 29.41°, intensity 1000, hkl 1 1 2
2θ = 36.36°, intensity 674, hkl 2 0 0
2θ = 28.31°, intensity 534, hkl 1 0 3
2θ = 39.05°, intensity 332, hkl 1 1 4
2θ = 41.03°, intensity 290, hkl 1 0 5
2θ = 46.71°, intensity 265, hkl 2 1 3
2θ = 61.20°, intensity 239, hkl 3 1 2
2θ = 52.36°, intensity 230, hkl 2 2 0
2θ = 55.97°, intensity 228, hkl 2 1 5
2θ = 72.48°, intensity 154, hkl 2 0 8
2θ = 67.22°, intensity 124, hkl 3 1 4
2θ = 51.75°, intensity 116, hkl 1 1 6

***

4.
Calculated XRD peak list of InTe2I for λ = 1.5418 Å (Cu Kα), from a GGA-PBE-relaxed structure.
Kinematic intensities with the Lorentz-polarization factor, no thermal factor.

Crystal structure
Cell: 7.9125 5.6245 13.9003 Å, 90.00 90.00 90.00°
Space group Pnna (No. 52)
Inequivalent atoms, fractional coordinates:
In 0.2500 0.0000 0.0750
Te 0.0542 0.1728 0.5628
I 0.0679 0.2500 0.2500

Largest 12 diffraction maxima, most intense first, 2θ from 10° to 90°:
2θ = 27.37°, intensity 1000, hkl 1 1 3
2θ = 39.31°, intensity 568, hkl 3 0 3
2θ = 28.32°, intensity 344, hkl 2 1 1
2θ = 27.57°, intensity 284, hkl 2 1 0
2θ = 23.24°, intensity 240, hkl 1 1 2
2θ = 12.74°, intensity 221, hkl 0 0 2
2θ = 39.16°, intensity 181, hkl 1 2 3
2θ = 38.87°, intensity 178, hkl 0 0 6
2θ = 12.87°, intensity 169, hkl 1 0 1
2θ = 42.91°, intensity 161, hkl 1 2 4
2θ = 32.33°, intensity 156, hkl 1 1 4
2θ = 48.80°, intensity 123, hkl 4 1 0

***

5.
Calculated XRD peak list of Zn2CdIn2Ag7 for λ = 1.5418 Å (Cu Kα), from a GGA-PBE-relaxed structure.
Kinematic intensities with the Lorentz-polarization factor, no thermal factor.

Crystal structure
Cell: 4.7698 18.2376 5.1913 Å, 90.00 90.00 90.00°
Space group Imm2 (No. 44)
Inequivalent atoms, fractional coordinates:
Zn 0.0000 0.2396 0.0000
Cd 0.0000 0.5000 0.6184
In 0.0000 0.1656 0.4797
Ag 0.0000 0.0000 0.4595
Ag 0.0000 0.0822 0.9602
Ag 0.0000 0.3333 0.6049
Ag 0.0000 0.4168 0.1196

Largest 12 diffraction maxima, most intense first, 2θ from 10° to 90°:
2θ = 39.20°, intensity 1000, hkl 1 6 1
2θ = 37.72°, intensity 348, hkl 2 0 0
2θ = 39.85°, intensity 343, hkl 1 1 2
2θ = 34.56°, intensity 182, hkl 0 0 2
2θ = 69.08°, intensity 174, hkl 3 6 1
2θ = 29.94°, intensity 110, hkl 0 5 1
2θ = 52.08°, intensity 108, hkl 2 0 2
2θ = 73.95°, intensity 83, hkl 2 12 0
2θ = 60.96°, intensity 78, hkl 0 12 0
2θ = 77.35°, intensity 75, hkl 2 7 3
2θ = 72.26°, intensity 72, hkl 2 5 3
2θ = 38.67°, intensity 67, hkl 0 7 1

***

6.
Calculated XRD peak list of La8Er3Mg for λ = 1.5418 Å (Cu Kα), from a GGA-PBE-relaxed structure.
Kinematic intensities with the Lorentz-polarization factor, no thermal factor.

Crystal structure
Cell: 8.6996 8.6996 11.8777 Å, 90.00 90.00 90.00°
Space group I-42m (No. 121)
Inequivalent atoms, fractional coordinates:
La 0.1359 0.1359 0.2443
La 0.2441 0.2441 0.9693
Er 0.0000 0.0000 0.5000
Er 0.0000 0.5000 0.2500
Mg 0.0000 0.0000 0.0000

Largest 12 diffraction maxima, most intense first, 2θ from 10° to 90°:
2θ = 35.98°, intensity 1000, hkl 3 1 2
2θ = 24.07°, intensity 734, hkl 2 1 1
2θ = 29.03°, intensity 710, hkl 2 2 0
2θ = 30.09°, intensity 592, hkl 0 0 4
2θ = 25.38°, intensity 561, hkl 2 0 2
2θ = 32.26°, intensity 385, hkl 2 1 3
2θ = 42.31°, intensity 379, hkl 2 2 4
2θ = 57.34°, intensity 347, hkl 3 1 6
2θ = 20.79°, intensity 322, hkl 1 1 2
2θ = 44.36°, intensity 303, hkl 4 0 2
2θ = 49.29°, intensity 287, hkl 4 2 2
2θ = 44.92°, intensity 233, hkl 3 1 4

***

7.
Calculated XRD peak list of Ag2B3Pd9 for λ = 1.5418 Å (Cu Kα), from a GGA-PBE-relaxed structure.
Kinematic intensities with the Lorentz-polarization factor, no thermal factor.

Crystal structure
Cell: 6.8764 6.9288 9.2770 Å, 73.39 70.77 74.85°
Space group P-1 (No. 2)
Inequivalent atoms, fractional coordinates:
Ag 0.1261 0.2665 0.2540
Ag 0.3594 0.5405 0.2659
B 0.0000 0.5000 0.5000
B 0.1315 0.7514 0.9946
B 0.3024 0.8896 0.4952
B 0.5000 0.0000 0.0000
Pd 0.0436 0.3064 0.7717
Pd 0.0523 0.8401 0.4256
Pd 0.1636 0.0396 0.0421
Pd 0.2095 0.4804 0.9235
Pd 0.2269 0.8856 0.7421
Pd 0.3041 0.5649 0.5854
Pd 0.3688 0.1870 0.4815
Pd 0.4683 0.7246 0.9537
Pd 0.4856 0.8899 0.2482

Largest 12 diffraction maxima, most intense first, 2θ from 10° to 90°:
2θ = 39.97°, intensity 1000, hkl 1 3 2
2θ = 38.92°, intensity 887, hkl -1 1 3
2θ = 37.46°, intensity 773, hkl 1 -1 3
2θ = 40.55°, intensity 758, hkl 1 -2 2
2θ = 41.01°, intensity 721, hkl 2 2 -1
2θ = 40.80°, intensity 718, hkl 3 0 1
2θ = 41.47°, intensity 589, hkl 2 1 4
2θ = 34.27°, intensity 562, hkl 2 1 -1
2θ = 43.17°, intensity 482, hkl 2 -2 0
2θ = 42.30°, intensity 454, hkl 0 0 4
2θ = 38.16°, intensity 444, hkl -1 2 2
2θ = 41.88°, intensity 363, hkl 2 1 -2